# 1
Theoretical powder XRD pattern
Compound: SbIrS
Radiation: Cu Kα, 1.54184 Å
Structure: a structure optimized by DFT (GGA-PBE)

Atomic structure:
Cell: 6.1043 6.1043 6.1043 Å, 90.00 90.00 90.00°
Atoms (fractional coordinates):
Sb: 0.1232 0.3768 0.6232
Sb: 0.3768 0.6232 0.1232
Sb: 0.6232 0.1232 0.3768
Sb: 0.8768 0.8768 0.8768
Ir: 0.0135 0.9865 0.4865
Ir: 0.4865 0.0135 0.9865
Ir: 0.5135 0.5135 0.5135
Ir: 0.9865 0.4865 0.0135
S: 0.1166 0.1166 0.1166
S: 0.3834 0.8834 0.6166
S: 0.6166 0.3834 0.8834
S: 0.8834 0.6166 0.3834

Top 12 peaks for 2θ = 15–90°, by intensity:
Position (°2θ), I (rel.)
49.53, 100
29.26, 70
25.27, 63
32.81, 55
41.86, 49
82.03, 30
36.04, 29
51.89, 21
68.78, 20
56.40, 18
76.44, 15
66.80, 13



# 2
Theoretical powder XRD pattern
Compound: U2SbN2
Radiation: Cu Kα, 1.54184 Å
Structure: a structure optimized by DFT (GGA-PBE)

Atomic structure:
Cell: 6.7538 6.7538 6.7538 Å, 146.75 146.75 47.73°
Atoms (fractional coordinates):
U: 0.1568 0.1568 0.0000
U: 0.8432 0.8432 0.0000
Sb: 0.5000 0.5000 0.0000
N: 0.2500 0.7500 0.5000
N: 0.7500 0.2500 0.5000

Top 12 peaks for 2θ = 15–90°, by intensity:
Position (°2θ), I (rel.)
31.76, 100
32.78, 43
57.87, 37
55.92, 21
47.03, 19
66.35, 11
24.13, 10
43.98, 9
77.67, 8
78.23, 8
73.18, 8
68.70, 6



# 3
Theoretical powder XRD pattern
Compound: NaBOF2
Radiation: Cu Kα, 1.54184 Å
Structure: a structure optimized by DFT (GGA-PBE)

Atomic structure:
Cell: 6.9174 6.9174 9.4427 Å, 110.32 110.32 60.35°
Atoms (fractional coordinates):
Na: 0.0000 0.5000 0.0000
Na: 0.1314 0.6823 0.5018
Na: 0.3177 0.8686 0.9982
Na: 0.5000 0.0000 0.5000
Na: 0.6823 0.1314 0.0018
Na: 0.8686 0.3177 0.4982
B: 0.2108 0.7892 0.2500
B: 0.3707 0.4208 0.7544
B: 0.4208 0.3707 0.2544
B: 0.5792 0.6293 0.7456
B: 0.6293 0.5792 0.2456
B: 0.7892 0.2108 0.7500
O: 0.2183 0.5816 0.2554
O: 0.3775 0.6225 0.7500
O: 0.4184 0.7817 0.2446
O: 0.5816 0.2183 0.7554
O: 0.6225 0.3775 0.2500
O: 0.7817 0.4184 0.7446
F: 0.0342 0.8731 0.1150
F: 0.1269 0.9658 0.3850
F: 0.1995 0.3733 0.6176
F: 0.2822 0.4657 0.8877
F: 0.3733 0.1995 0.1176
F: 0.4657 0.2822 0.3877
F: 0.5343 0.7178 0.6123
F: 0.6267 0.8005 0.8824
F: 0.7178 0.5343 0.1123
F: 0.8005 0.6267 0.3824
F: 0.8731 0.0342 0.6150
F: 0.9658 0.1269 0.8850

Top 12 peaks for 2θ = 15–90°, by intensity:
Position (°2θ), I (rel.)
27.62, 100
45.25, 69
27.98, 51
15.09, 41
45.52, 35
50.20, 35
49.27, 35
49.66, 32
22.77, 29
40.33, 28
53.83, 26
40.66, 25



# 4
Theoretical powder XRD pattern
Compound: BaCaC2O6
Radiation: Cu Kα, 1.54184 Å
Structure: a structure optimized by DFT (GGA-PBE)

Atomic structure:
Cell: 8.7884 8.7884 6.2433 Å, 90.00 90.00 120.00°
Atoms (fractional coordinates):
Ba: 0.0000 0.6868 0.0000
Ba: 0.3132 0.3132 0.0000
Ba: 0.6868 0.0000 0.0000
Ca: 0.0000 0.3599 0.5000
Ca: 0.3599 0.0000 0.5000
Ca: 0.6401 0.6401 0.5000
C: 0.0000 0.0000 0.2650
C: 0.0000 0.0000 0.7350
C: 0.3333 0.6667 0.3545
C: 0.3333 0.6667 0.8162
C: 0.6667 0.3333 0.1838
C: 0.6667 0.3333 0.6455
O: 0.0022 0.1489 0.7416
O: 0.1467 0.9978 0.7416
O: 0.1489 0.0022 0.2584
O: 0.1797 0.5246 0.8191
O: 0.1902 0.6760 0.3583
O: 0.3240 0.5142 0.3583
O: 0.3449 0.8203 0.8191
O: 0.4754 0.6551 0.8191
O: 0.4858 0.8098 0.3583
O: 0.5142 0.3240 0.6417
O: 0.5246 0.1797 0.1809
O: 0.6551 0.4754 0.1809
O: 0.6760 0.1902 0.6417
O: 0.8098 0.4858 0.6417
O: 0.8203 0.3449 0.1809
O: 0.8511 0.8533 0.7416
O: 0.8533 0.8511 0.2584
O: 0.9978 0.1467 0.2584

Top 12 peaks for 2θ = 15–90°, by intensity:
Position (°2θ), I (rel.)
24.78, 100
35.27, 38
43.67, 28
46.10, 23
35.38, 22
20.21, 19
48.40, 19
57.41, 14
41.08, 12
63.46, 12
38.30, 11
72.86, 10



# 5
Theoretical powder XRD pattern
Compound: SiC
Radiation: Cu Kα, 1.54184 Å
Structure: a structure optimized by DFT (GGA-PBE)

Atomic structure:
Cell: 43.0544 43.0544 43.0544 Å, 4.12 4.12 4.12°
Atoms (fractional coordinates):
Si: 0.0000 0.0000 0.0000
Si: 0.0392 0.0392 0.0392
Si: 0.0784 0.0784 0.0784
Si: 0.1568 0.1568 0.1568
Si: 0.1961 0.1961 0.1961
Si: 0.2745 0.2745 0.2745
Si: 0.3137 0.3137 0.3137
Si: 0.3921 0.3921 0.3921
Si: 0.4510 0.4510 0.4510
Si: 0.5098 0.5098 0.5098
Si: 0.5686 0.5686 0.5686
Si: 0.6274 0.6274 0.6274
Si: 0.6863 0.6863 0.6863
Si: 0.7647 0.7647 0.7647
Si: 0.8039 0.8039 0.8039
Si: 0.8823 0.8823 0.8823
Si: 0.9216 0.9216 0.9216
C: 0.0245 0.0245 0.0245
C: 0.0637 0.0637 0.0637
C: 0.1421 0.1421 0.1421
C: 0.1814 0.1814 0.1814
C: 0.2598 0.2598 0.2598
C: 0.2990 0.2990 0.2990
C: 0.3774 0.3774 0.3774
C: 0.4362 0.4362 0.4362
C: 0.4951 0.4951 0.4951
C: 0.5539 0.5539 0.5539
C: 0.6127 0.6127 0.6127
C: 0.6715 0.6715 0.6715
C: 0.7500 0.7500 0.7500
C: 0.7892 0.7892 0.7892
C: 0.8676 0.8676 0.8676
C: 0.9069 0.9069 0.9069
C: 0.9853 0.9853 0.9853

Top 12 peaks for 2θ = 15–90°, by intensity:
Position (°2θ), I (rel.)
35.49, 100
59.76, 67
71.47, 47
35.29, 34
37.82, 29
38.16, 26
33.91, 23
34.17, 14
65.02, 13
65.71, 12
59.06, 10
41.24, 10



# 6
Theoretical powder XRD pattern
Compound: La4MgCo
Radiation: Cu Kα, 1.54184 Å
Structure: a structure optimized by DFT (GGA-PBE)

Atomic structure:
Cell: 10.0452 10.0452 10.0452 Å, 60.00 60.00 60.00°
Atoms (fractional coordinates):
La: 0.0316 0.6561 0.6561
La: 0.0602 0.0602 0.4398
La: 0.0602 0.4398 0.0602
La: 0.0602 0.4398 0.4398
La: 0.1881 0.1881 0.8119
La: 0.1881 0.8119 0.1881
La: 0.1881 0.8119 0.8119
La: 0.4398 0.0602 0.0602
La: 0.4398 0.0602 0.4398
La: 0.4398 0.4398 0.0602
La: 0.6561 0.0316 0.6561
La: 0.6561 0.6561 0.0316
La: 0.6561 0.6561 0.6561
La: 0.8119 0.1881 0.1881
La: 0.8119 0.1881 0.8119
La: 0.8119 0.8119 0.1881
Mg: 0.4218 0.4218 0.4218
Mg: 0.4218 0.4218 0.7346
Mg: 0.4218 0.7346 0.4218
Mg: 0.7346 0.4218 0.4218
Co: 0.4207 0.8598 0.8598
Co: 0.8598 0.4207 0.8598
Co: 0.8598 0.8598 0.4207
Co: 0.8598 0.8598 0.8598

Top 12 peaks for 2θ = 15–90°, by intensity:
Position (°2θ), I (rel.)
32.76, 100
30.84, 65
54.83, 59
27.37, 53
35.75, 32
52.74, 19
83.99, 17
82.29, 17
56.06, 15
65.36, 13
68.30, 12
49.27, 11



# 7
Theoretical powder XRD pattern
Compound: In3Te3Br
Radiation: Cu Kα, 1.54184 Å
Structure: a structure optimized by DFT (GGA-PBE)

Atomic structure:
Cell: 11.9120 4.4232 21.0494 Å, 90.00 90.00 90.00°
Atoms (fractional coordinates):
In: 0.0464 0.2500 0.1036
In: 0.1608 0.2500 0.6338
In: 0.1732 0.2500 0.9902
In: 0.3268 0.7500 0.4902
In: 0.3392 0.7500 0.1338
In: 0.4536 0.7500 0.6036
In: 0.5464 0.2500 0.3964
In: 0.6608 0.2500 0.8662
In: 0.6732 0.2500 0.5098
In: 0.8268 0.7500 0.0098
In: 0.8392 0.7500 0.3662
In: 0.9536 0.7500 0.8964
Te: 0.0968 0.2500 0.8614
Te: 0.1695 0.2500 0.4987
Te: 0.2288 0.2500 0.1946
Te: 0.2712 0.7500 0.6946
Te: 0.3305 0.7500 0.9987
Te: 0.4032 0.7500 0.3614
Te: 0.5968 0.2500 0.6386
Te: 0.6695 0.2500 0.0013
Te: 0.7288 0.2500 0.3054
Te: 0.7712 0.7500 0.8054
Te: 0.8305 0.7500 0.5013
Te: 0.9032 0.7500 0.1386
Br: 0.0449 0.7500 0.3320
Br: 0.4551 0.2500 0.8320
Br: 0.5449 0.7500 0.1680
Br: 0.9551 0.2500 0.6680

Top 12 peaks for 2θ = 15–90°, by intensity:
Position (°2θ), I (rel.)
25.08, 100
25.40, 42
28.16, 41
40.80, 39
22.55, 39
42.77, 34
44.88, 27
26.49, 26
23.05, 22
43.79, 21
40.33, 19
39.26, 18